1.
Theoretical powder diffraction line list of DyEr2Tm2Lu2Ni2Te2 for a wavelength of 1.5418 Å, from a GGA-PBE-relaxed structure.

Atomic structure:
a b c (Å): 9.2344 9.2344 9.2344
angles (deg): 156.11 67.14 118.31
Fractional positions:
Dy1 0.0000 0.0000 0.0000
Er1 0.4473 0.5817 0.8656
Er2 0.7161 0.5817 0.1344
Tm1 0.0822 0.7293 0.3528
Tm2 0.3765 0.7293 0.6472
Lu1 0.0623 0.3771 0.6853
Lu2 0.6918 0.3771 0.3147
Ni1 0.3049 0.0691 0.2358
Ni2 0.8332 0.0691 0.7642
Te1 0.3378 0.3378 0.0000
Te2 0.7338 0.2338 0.5000

Most intense lines, 2θ = 10–80°, sorted by position:
d_spacing	two_theta	Rel. int.
3.065	29.13	23.3
2.922	30.59	75.3
2.688	33.33	83.8
2.607	34.40	100.0
2.573	34.87	55.4
2.565	34.98	25.4
2.434	36.93	23.9
1.912	47.57	30.2
1.767	51.73	27.3
1.558	59.32	32.4

2.
Theoretical powder diffraction line list of MgZrH10O5F6 for a wavelength of 1.5418 Å, from a GGA-PBE-relaxed structure.

Atomic structure:
a b c (Å): 7.2973 8.3245 8.3314
angles (deg): 97.70 115.29 115.23
Fractional positions:
Mg1 0.0453 0.3146 0.2742
Mg2 0.9547 0.6854 0.7258
Zr1 0.2538 0.0020 0.5039
Zr2 0.7462 0.9980 0.4961
H1 0.0504 0.4129 0.7877
H2 0.1712 0.5205 0.6816
H3 0.1969 0.8777 0.0953
H4 0.2735 0.0413 0.0110
H5 0.2981 0.2244 0.8736
H6 0.3069 0.3744 0.1097
H7 0.3439 0.5812 0.2018
H8 0.3664 0.6662 0.5642
H9 0.4402 0.6781 0.9385
H10 0.4425 0.5229 0.6269
H11 0.5575 0.4771 0.3731
H12 0.5598 0.3219 0.0615
H13 0.6336 0.3338 0.4358
H14 0.6561 0.4188 0.7982
H15 0.6931 0.6256 0.8903
H16 0.7019 0.7756 0.1264
H17 0.7265 0.9587 0.9890
H18 0.8031 0.1223 0.9047
H19 0.8288 0.4795 0.3184
H20 0.9496 0.5871 0.2123
O1 0.1304 0.5412 0.7805
O2 0.1872 0.9004 0.9805
O3 0.2910 0.4494 0.2041
O4 0.2983 0.5307 0.5540
O5 0.3866 0.2630 0.0150
O6 0.6134 0.7370 0.9850
O7 0.7017 0.4693 0.4460
O8 0.7090 0.5506 0.7959
O9 0.8128 0.0996 0.0195
O10 0.8696 0.4588 0.2195
F1 0.0927 0.7966 0.2364
F2 0.1375 0.1383 0.6473
F3 0.1529 0.8100 0.6260
F4 0.2148 0.1869 0.3737
F5 0.4530 0.7919 0.2362
F6 0.4750 0.8805 0.5690
F7 0.5250 0.1195 0.4310
F8 0.5470 0.2081 0.7638
F9 0.7852 0.8131 0.6263
F10 0.8471 0.1900 0.3740
F11 0.8625 0.8617 0.3527
F12 0.9073 0.2034 0.7636

Most intense lines, 2θ = 10–80°, sorted by position:
d_spacing	two_theta	Rel. int.
6.946	12.74	100.0
6.271	14.12	22.3
4.170	21.31	20.2
3.737	23.81	28.6
3.255	27.40	8.5
3.205	27.84	7.3
3.153	28.31	25.2
2.715	32.99	20.1
2.013	45.04	7.5
2.000	45.35	7.3

3.
Theoretical powder diffraction line list of Sm2Gd2Mg3Ni2 for a wavelength of 1.5418 Å, from a GGA-PBE-relaxed structure.

Atomic structure:
a b c (Å): 7.4901 3.7033 8.3462
angles (deg): 90.00 108.14 90.00
Fractional positions:
Sm1 0.0862 0.0000 0.2205
Sm2 0.9138 0.0000 0.7795
Gd1 0.3931 0.0000 0.6744
Gd2 0.6069 0.0000 0.3256
Mg1 0.0000 0.5000 0.5000
Mg2 0.2974 0.5000 0.0019
Mg3 0.7026 0.5000 0.9981
Ni1 0.3447 0.5000 0.3906
Ni2 0.6553 0.5000 0.6094

Most intense lines, 2θ = 10–80°, sorted by position:
d_spacing	two_theta	Rel. int.
7.931	11.16	45.6
6.375	13.89	54.2
3.966	22.42	45.2
3.705	24.02	100.0
2.925	30.57	39.4
2.707	33.10	85.2
2.620	34.23	97.9
2.369	37.98	40.4
2.295	39.25	57.0
2.221	40.61	38.5

4.
Theoretical powder diffraction line list of AlCdGaSe2S2 for a wavelength of 1.5418 Å, from a GGA-PBE-relaxed structure.

Atomic structure:
a b c (Å): 5.7389 5.7495 6.6209
angles (deg): 114.61 115.19 90.06
Fractional positions:
Al1 0.0000 0.0000 0.0000
Cd1 0.5011 0.4826 0.0013
Ga1 0.7615 0.2380 0.5001
Se1 0.3668 0.8931 0.2789
Se2 0.6294 0.6279 0.7220
S1 0.0966 0.0973 0.7402
S2 0.8993 0.3422 0.2606

Most intense lines, 2θ = 10–80°, sorted by position:
d_spacing	two_theta	Rel. int.
5.070	17.49	63.5
5.016	17.68	64.2
3.261	27.35	90.6
3.243	27.51	100.0
3.215	27.75	79.0
3.193	27.94	87.7
2.506	35.83	48.0
2.031	44.62	88.3
1.973	46.00	40.9
1.959	46.34	41.3

5.
Theoretical powder diffraction line list of PrGdNi2B2N2 for a wavelength of 1.5418 Å, from a GGA-PBE-relaxed structure.

Atomic structure:
a b c (Å): 3.5954 3.5954 7.5396
angles (deg): 90.00 90.00 90.00
Fractional positions:
Pr1 0.0000 0.0000 0.0000
Gd1 0.5000 0.5000 0.3415
Ni1 0.0000 0.5000 0.6693
Ni2 0.5000 0.0000 0.6693
B1 0.0000 0.0000 0.5188
B2 0.5000 0.5000 0.8278
N1 0.0000 0.0000 0.3267
N2 0.5000 0.5000 0.0220

Most intense lines, 2θ = 10–80°, sorted by position:
d_spacing	two_theta	Rel. int.
3.245	27.48	100.0
2.602	34.47	63.9
2.542	35.30	23.0
2.513	35.73	48.7
2.409	37.33	70.4
2.108	42.91	56.9
1.798	50.79	39.8
1.573	58.71	26.3
1.479	62.83	23.2
1.462	63.64	34.5

6.
Theoretical powder diffraction line list of Tb2Ga2O5 for a wavelength of 1.5418 Å, from a GGA-PBE-relaxed structure.

Atomic structure:
a b c (Å): 3.8877 3.8877 6.8107
angles (deg): 90.00 90.00 90.00
Fractional positions:
Tb1 0.0000 0.0000 0.0000
Tb2 0.0000 0.0000 0.5000
Ga1 0.5000 0.5000 0.2060
Ga2 0.5000 0.5000 0.7940
O1 0.0000 0.5000 0.2363
O2 0.0000 0.5000 0.7637
O3 0.5000 0.0000 0.2363
O4 0.5000 0.0000 0.7637
O5 0.5000 0.5000 0.5000

Most intense lines, 2θ = 10–80°, sorted by position:
d_spacing	two_theta	Rel. int.
3.888	22.87	18.3
2.749	32.57	57.2
2.562	35.03	100.0
2.139	42.25	23.8
1.944	46.73	35.7
1.548	59.72	43.1
1.448	64.36	11.3
1.375	68.23	10.8
1.281	74.01	12.0
1.229	77.67	9.9

7.
Theoretical powder diffraction line list of FeCu5Sn2 for a wavelength of 1.5418 Å, from a GGA-PBE-relaxed structure.

Atomic structure:
a b c (Å): 4.2740 4.2740 6.2629
angles (deg): 90.00 90.00 90.00
Fractional positions:
Fe1 0.0000 0.0000 0.0000
Cu1 0.0000 0.5000 0.2523
Cu2 0.0000 0.5000 0.7477
Cu3 0.5000 0.0000 0.2523
Cu4 0.5000 0.0000 0.7477
Cu5 0.5000 0.5000 0.5000
Sn1 0.0000 0.0000 0.5000
Sn2 0.5000 0.5000 0.0000

Most intense lines, 2θ = 10–80°, sorted by position:
d_spacing	two_theta	Rel. int.
3.530	25.23	11.1
3.022	29.56	2.6
2.175	41.53	100.0
2.137	42.29	47.4
1.876	48.53	2.2
1.828	49.88	4.1
1.566	58.99	8.5
1.511	61.35	15.1
1.263	75.23	16.3
1.241	76.82	30.8

8.
Theoretical powder diffraction line list of Pa for a wavelength of 1.5418 Å, from a GGA-PBE-relaxed structure.

Atomic structure:
a b c (Å): 9.7462 9.7462 9.7462
angles (deg): 109.47 109.47 109.47
Fractional positions:
Pa1 0.0000 0.0000 0.0000
Pa2 0.0000 0.0000 0.3680
Pa3 0.0000 0.3235 0.6158
Pa4 0.0000 0.3680 0.0000
Pa5 0.0000 0.6158 0.3235
Pa6 0.0000 0.6301 0.8122
Pa7 0.0000 0.8122 0.6301
Pa8 0.1822 0.3699 0.3699
Pa9 0.1878 0.1878 0.8178
Pa10 0.1878 0.8178 0.1878
Pa11 0.2923 0.6765 0.6765
Pa12 0.3235 0.0000 0.6158
Pa13 0.3235 0.6158 0.0000
Pa14 0.3680 0.0000 0.0000
Pa15 0.3699 0.1822 0.3699
Pa16 0.3699 0.3699 0.1822
Pa17 0.3842 0.3842 0.7077
Pa18 0.3842 0.7077 0.3842
Pa19 0.6158 0.0000 0.3235
Pa20 0.6158 0.3235 0.0000
Pa21 0.6301 0.0000 0.8122
Pa22 0.6301 0.8122 0.0000
Pa23 0.6320 0.6320 0.6320
Pa24 0.6765 0.2923 0.6765
Pa25 0.6765 0.6765 0.2923
Pa26 0.7077 0.3842 0.3842
Pa27 0.8122 0.0000 0.6301
Pa28 0.8122 0.6301 0.0000
Pa29 0.8178 0.1878 0.1878

Most intense lines, 2θ = 10–80°, sorted by position:
d_spacing	two_theta	Rel. int.
2.653	33.79	100.0
2.399	37.48	24.0
2.297	39.22	10.0
2.207	40.89	14.7
1.624	56.67	7.0
1.592	57.94	8.8
1.531	60.45	32.5
1.504	61.68	4.9
1.429	65.28	4.6
1.326	71.08	11.5

9.
Theoretical powder diffraction line list of LiErPO for a wavelength of 1.5418 Å, from a GGA-PBE-relaxed structure.

Atomic structure:
a b c (Å): 3.7130 3.7130 9.4141
angles (deg): 90.00 90.00 90.00
Fractional positions:
Li1 0.2500 0.7500 0.0000
Li2 0.7500 0.2500 0.0000
Er1 0.2500 0.2500 0.3775
Er2 0.7500 0.7500 0.6225
P1 0.2500 0.2500 0.8148
P2 0.7500 0.7500 0.1852
O1 0.2500 0.7500 0.5000
O2 0.7500 0.2500 0.5000

Most intense lines, 2θ = 10–80°, sorted by position:
d_spacing	two_theta	Rel. int.
3.454	25.79	32.0
2.915	30.67	100.0
2.625	34.15	32.3
2.529	35.50	17.4
2.397	37.53	29.1
1.857	49.07	17.7
1.752	52.20	22.3
1.566	58.98	31.0
1.530	60.51	10.5
1.468	63.37	12.6